# TmGaPt
Calculated powder diffractogram, copper Kα. Input: a crystal structure in the Materials Project, relaxed with PBE.

Most intense lines, 2θ = 15–90°, sorted by position:
d (Å)  2theta  I_rel  (hkl)
3.340  26.7  33.7  1 0 2
2.666  33.6  27.3  1 1 2
2.546  35.3  100.0  2 1 1
2.213  40.8  70.4  0 2 0
2.178  41.5  10.8  3 0 1
1.954  46.5  13.9  3 0 2
1.670  55.0  18.1  2 2 2
1.391  67.3  11.4  3 1 4
1.350  69.7  15.2  4 2 0
1.333  70.7  15.7  2 3 1

Structural model:
a = 6.813 Å, b = 4.424 Å, c = 7.668 Å
α = 90.00°, β = 90.00°, γ = 90.00°
Space group Pnma (No. 62)
Inequivalent atoms, fractional coordinates:
Tm 0.014 0.250 0.198 (multiplicity 4)
Ga 0.173 0.250 0.574 (multiplicity 4)
Pt 0.226 0.750 0.401 (multiplicity 4)

=====

# U4Ga20Pt11
Calculated powder diffractogram, copper Kα. Input: a crystal structure in the Materials Project, relaxed with PBE.

Most intense lines, 2θ = 15–90°, sorted by position:
d (Å)  2theta  I_rel  (hkl)
3.303  27.0  26.8  4 0 -5
2.679  33.4  20.5  8 0 -4
2.585  34.7  25.9  6 0 1
2.551  35.2  48.5  5 1 -5
2.478  36.2  26.5  7 1 -3
2.452  36.6  100.0  1 1 4
2.099  43.1  19.7  1 1 -6
2.093  43.2  61.0  0 2 0
1.982  45.8  22.4  9 1 -6
1.971  46.1  20.2  5 1 3

Structural model:
a = 21.528 Å, b = 4.186 Å, c = 16.549 Å
α = 90.00°, β = 124.86°, γ = 90.00°
Space group C2/m (No. 12)
Inequivalent atoms, fractional coordinates:
U 0.121 0.000 0.334 (multiplicity 4)
U 0.225 0.000 0.820 (multiplicity 4)
Ga 0.007 0.000 0.086 (multiplicity 4)
Ga 0.044 0.500 0.374 (multiplicity 4)
Ga 0.065 0.000 0.801 (multiplicity 4)
Ga 0.102 0.000 0.546 (multiplicity 4)
Ga 0.102 0.500 0.998 (multiplicity 4)
Ga 0.112 0.500 0.698 (multiplicity 4)
Ga 0.134 0.500 0.203 (multiplicity 4)
Ga 0.199 0.500 0.497 (multiplicity 4)
Ga 0.201 0.000 0.008 (multiplicity 4)
Ga 0.244 0.500 0.705 (multiplicity 4)
Pt 0.000 0.500 0.500 (multiplicity 2)
Pt 0.006 0.500 0.185 (multiplicity 4)
Pt 0.028 0.000 0.629 (multiplicity 4)
Pt 0.136 0.000 0.107 (multiplicity 4)
Pt 0.155 0.500 0.890 (multiplicity 4)
Pt 0.241 0.000 0.611 (multiplicity 4)

=====

# Y4Ga12Pt
Calculated powder diffractogram, copper Kα. Input: a crystal structure in the Materials Project, relaxed with PBE.

Most intense lines, 2θ = 15–90°, sorted by position:
d (Å)  2theta  I_rel  (hkl)
3.064  29.1  26.3  2 2 0
2.740  32.7  27.7  3 1 0
2.501  35.9  100.0  2 2 2
2.316  38.9  41.6  3 2 1
2.166  41.7  92.8  4 0 0
2.042  44.4  15.3  3 3 0
1.847  49.3  25.0  3 3 2
1.532  60.4  52.4  4 4 0
1.306  72.3  25.3  6 2 2
1.179  81.7  15.5  6 3 3

Structural model:
a = 8.665 Å, b = 8.665 Å, c = 8.665 Å
α = 90.00°, β = 90.00°, γ = 90.00°
Space group Im-3m (No. 229)
Inequivalent atoms, fractional coordinates:
Y 0.250 0.250 0.250 (multiplicity 8)
Ga 0.000 0.000 0.297 (multiplicity 12)
Ga 0.000 0.250 0.500 (multiplicity 12)
Pt 0.000 0.000 0.000 (multiplicity 2)

=====

# Y6Ga17Pt5
Calculated powder diffractogram, copper Kα. Input: a crystal structure in the Materials Project, relaxed with PBE.

Most intense lines, 2θ = 15–90°, sorted by position:
d (Å)  2theta  I_rel  (hkl)
3.129  28.5  21.1  1 1 3
2.537  35.4  100.0  1 1 -5
2.426  37.1  13.4  4 0 4
2.389  37.6  35.7  1 1 5
2.171  41.6  34.1  0 2 0
2.045  44.3  19.9  6 0 -6
1.981  45.8  12.2  7 1 -1
1.955  46.4  11.4  7 1 -3
1.918  47.4  12.8  6 0 4
1.488  62.4  12.2  6 2 -6

Structural model:
a = 15.647 Å, b = 4.341 Å, c = 15.640 Å
α = 90.00°, β = 103.29°, γ = 90.00°
Space group C2/m (No. 12)
Inequivalent atoms, fractional coordinates:
Y 0.094 0.000 0.403 (multiplicity 4)
Y 0.101 0.500 0.900 (multiplicity 4)
Y 0.250 0.000 0.252 (multiplicity 4)
Ga 0.000 0.000 0.000 (multiplicity 2)
Ga 0.040 0.000 0.178 (multiplicity 4)
Ga 0.042 0.500 0.673 (multiplicity 4)
Ga 0.103 0.500 0.263 (multiplicity 4)
Ga 0.107 0.000 0.766 (multiplicity 4)
Ga 0.173 0.500 0.541 (multiplicity 4)
Ga 0.179 0.000 0.039 (multiplicity 4)
Ga 0.233 0.500 0.396 (multiplicity 4)
Ga 0.239 0.000 0.892 (multiplicity 4)
Pt 0.000 0.500 0.500 (multiplicity 2)
Pt 0.093 0.500 0.094 (multiplicity 4)
Pt 0.104 0.000 0.602 (multiplicity 4)

=====

# Y3Ga9Pt2
Calculated powder diffractogram, copper Kα. Input: a crystal structure in the Materials Project, relaxed with PBE.

Most intense lines, 2θ = 15–90°, sorted by position:
d (Å)  2theta  I_rel  (hkl)
4.053  21.9  15.3  1 0 1
2.561  35.0  26.2  0 3 3
2.548  35.2  100.0  1 2 3
2.450  36.7  19.5  1 1 4
2.388  37.7  41.0  1 3 2
2.141  42.2  38.8  2 0 0
2.092  43.2  22.8  0 0 6
1.994  45.5  26.5  1 3 4
1.920  47.4  18.1  0 5 1
1.496  62.0  15.4  2 0 6

Structural model:
a = 4.282 Å, b = 9.712 Å, c = 12.554 Å
α = 90.00°, β = 90.00°, γ = 90.00°
Space group Immm (No. 71)
Inequivalent atoms, fractional coordinates:
Y 0.000 0.000 0.000 (multiplicity 2)
Y 0.000 0.000 0.305 (multiplicity 4)
Ga 0.000 0.282 0.138 (multiplicity 8)
Ga 0.000 0.369 0.344 (multiplicity 8)
Ga 0.000 0.500 0.000 (multiplicity 2)
Pt 0.000 0.193 0.500 (multiplicity 4)

=====

# YGaPt
Calculated powder diffractogram, copper Kα. Input: a crystal structure in the Materials Project, relaxed with PBE.

Most intense lines, 2θ = 15–90°, sorted by position:
d (Å)  2theta  I_rel  (hkl)
3.465  25.7  17.0  2 0 0
3.367  26.5  61.3  1 0 2
2.685  33.4  25.1  1 1 2
2.576  34.8  100.0  2 1 1
2.224  40.6  37.3  0 2 0
2.224  40.6  55.1  0 1 3
1.981  45.8  24.8  3 0 2
1.872  48.6  25.5  2 1 3
1.683  54.5  19.7  2 0 4
1.342  70.1  18.1  2 3 1

Structural model:
a = 6.931 Å, b = 4.448 Å, c = 7.704 Å
α = 90.00°, β = 90.00°, γ = 90.00°
Space group Pnma (No. 62)
Inequivalent atoms, fractional coordinates:
Y 0.012 0.250 0.198 (multiplicity 4)
Ga 0.172 0.250 0.574 (multiplicity 4)
Pt 0.224 0.750 0.400 (multiplicity 4)

=====

# PuGa
Calculated powder diffractogram, copper Kα. Input: a crystal structure in the Materials Project, relaxed with PBE.

Most intense lines, 2θ = 15–90°, sorted by position:
d (Å)  2theta  I_rel  (hkl)
4.508  19.7  27.7  0 0 1
3.088  28.9  22.3  1 1 0
2.548  35.2  100.0  1 1 1
2.254  40.0  17.7  0 0 2
2.187  41.3  16.2  0 2 0
2.180  41.4  16.1  2 0 0
1.568  58.9  23.2  2 0 2
1.351  69.6  14.1  1 1 3
1.322  71.4  13.2  1 3 1
1.319  71.5  13.1  3 1 1

Structural model:
a = 4.361 Å, b = 4.374 Å, c = 4.508 Å
α = 90.00°, β = 90.00°, γ = 90.00°
Space group Cmmm (No. 65)
Inequivalent atoms, fractional coordinates:
Pu 0.000 0.000 0.000 (multiplicity 2)
Ga 0.000 0.500 0.500 (multiplicity 2)

=====

# PuGa
Calculated powder diffractogram, copper Kα. Input: a crystal structure in the Materials Project, relaxed with PBE.

Most intense lines, 2θ = 15–90°, sorted by position:
d (Å)  2theta  I_rel  (hkl)
5.342  16.6  64.6  0 0 1
2.671  33.5  45.1  0 0 2
2.367  38.0  17.6  1 1 0
2.341  38.5  31.3  0 2 0
2.164  41.7  100.0  1 1 1
2.144  42.2  13.4  0 2 1
1.772  51.6  15.4  1 1 2
1.760  51.9  26.7  0 2 2
1.423  65.6  26.6  1 1 3
1.315  71.8  20.5  1 3 1

Structural model:
a = 2.744 Å, b = 4.681 Å, c = 5.342 Å
α = 90.00°, β = 90.00°, γ = 90.00°
Space group Cmmm (No. 65)
Inequivalent atoms, fractional coordinates:
Pu 0.000 0.000 0.000 (multiplicity 2)
Ga 0.000 0.500 0.500 (multiplicity 2)

=====

# PuGa
Calculated powder diffractogram, copper Kα. Input: a crystal structure in the Materials Project, relaxed with PBE.

Most intense lines, 2θ = 15–90°, sorted by position:
d (Å)  2theta  I_rel  (hkl)
4.907  18.1  27.5  1 0 1
3.182  28.0  67.7  2 0 0
2.927  30.5  29.5  1 1 2
2.670  33.6  44.3  2 1 1
2.454  36.6  100.0  2 0 2
2.382  37.8  36.6  1 0 3
2.250  40.1  70.5  2 2 0
1.771  51.6  37.6  1 1 4
1.455  64.0  22.5  3 2 3
1.392  67.3  43.1  3 1 4

Structural model:
a = 6.364 Å, b = 6.364 Å, c = 7.706 Å
α = 90.00°, β = 90.00°, γ = 90.00°
Space group I4/mmm (No. 139)
Inequivalent atoms, fractional coordinates:
Pu 0.000 0.000 0.148 (multiplicity 4)
Pu 0.000 0.500 0.250 (multiplicity 4)
Ga 0.200 0.200 0.500 (multiplicity 8)

=====

# PuGa2
Calculated powder diffractogram, copper Kα. Input: a crystal structure in the Materials Project, relaxed with PBE.

Most intense lines, 2θ = 15–90°, sorted by position:
d (Å)  2theta  I_rel  (hkl)
4.004  22.2  40.6  1 0 0
2.581  34.8  100.0  1 0 1
2.311  39.0  56.4  1 1 0
2.002  45.3  6.7  2 0 0
1.722  53.2  30.3  2 0 1
1.688  54.4  7.2  0 0 2
1.381  67.9  29.3  2 1 1
1.363  68.9  21.2  1 1 2
1.335  70.6  9.9  3 0 0
1.156  83.7  6.3  2 2 0

Structural model:
a = 4.6229 Å, b = 4.6229 Å, c = 3.3759 Å
α = 90.00°, β = 90.00°, γ = 120.00°
Space group P6/mmm (No. 191)
Inequivalent atoms, fractional coordinates:
Pu 0.0000 0.0000 0.0000 (multiplicity 1)
Ga 0.3333 0.6667 0.5000 (multiplicity 2)

=====

# PuGa
Calculated powder diffractogram, copper Kα. Input: a crystal structure in the Materials Project, relaxed with PBE.

Most intense lines, 2θ = 15–90°, sorted by position:
d (Å)  2theta  I_rel  (hkl)
4.267  20.8  22.2  0 0 2
3.202  27.9  33.2  2 0 0
2.600  34.5  16.9  1 0 3
2.561  35.0  100.0  2 0 2
2.264  39.8  39.0  2 2 0
2.134  42.4  10.2  0 0 4
2.000  45.3  15.8  2 2 2
1.601  57.6  12.0  4 0 0
1.553  59.5  12.9  2 2 4
1.358  69.2  27.3  4 2 2

Structural model:
a = 6.405 Å, b = 6.405 Å, c = 8.535 Å
α = 90.00°, β = 90.00°, γ = 90.00°
Space group I4/mmm (No. 139)
Inequivalent atoms, fractional coordinates:
Pu 0.000 0.000 0.201 (multiplicity 4)
Pu 0.000 0.500 0.250 (multiplicity 4)
Ga 0.210 0.210 0.500 (multiplicity 8)

=====

# PuGa3
Calculated powder diffractogram, copper Kα. Input: a crystal structure in the Materials Project, relaxed with PBE.

Most intense lines, 2θ = 15–90°, sorted by position:
d (Å)  2theta  I_rel  (hkl)
3.476  25.6  42.7  1 0 1
3.059  29.2  18.8  1 1 0
2.649  33.8  24.8  2 0 0
2.303  39.1  22.8  0 0 2
2.296  39.2  100.0  2 0 1
1.738  52.7  14.2  2 0 2
1.529  60.5  18.1  2 2 0
1.400  66.8  11.1  3 0 2
1.328  70.9  17.4  2 0 3
1.274  74.5  33.9  2 2 2

Structural model:
a = 6.1177 Å, b = 6.1177 Å, c = 4.6065 Å
α = 90.00°, β = 90.00°, γ = 120.00°
Space group P6_3/mmc (No. 194)
Inequivalent atoms, fractional coordinates:
Pu 0.3333 0.6667 0.2500 (multiplicity 2)
Ga 0.1562 0.3124 0.7500 (multiplicity 6)

=====

# PuGa3
Calculated powder diffractogram, copper Kα. Input: a crystal structure in the Materials Project, relaxed with PBE.

Most intense lines, 2θ = 15–90°, sorted by position:
d (Å)  2theta  I_rel  (hkl)
3.905  22.8  44.4  0 1 5
3.250  27.4  39.5  1 0 7
3.077  29.0  37.4  1 1 0
2.620  34.2  38.6  2 0 2
2.417  37.2  100.0  2 0 5
2.392  37.6  48.7  0 0 12
2.234  40.4  91.1  0 2 7
1.538  60.2  36.2  2 2 0
1.426  65.4  22.9  2 0 17
1.294  73.1  40.8  2 2 12

Structural model:
a = 6.1531 Å, b = 6.1531 Å, c = 28.7015 Å
α = 90.00°, β = 90.00°, γ = 120.00°
Space group R-3m (No. 166, hexagonal axes)
Inequivalent atoms, fractional coordinates:
Pu 0.0000 0.0000 0.1280 (multiplicity 6)
Pu 0.0000 0.0000 0.2889 (multiplicity 6)
Ga 0.0006 0.5003 0.7086 (multiplicity 18)
Ga 0.0293 0.5146 0.1251 (multiplicity 18)